Theoretical PXRD pattern of Sr2B2O5 for Cu Kα (weighted mean of Kα1 and Kα2), from a cell relaxed with PBE.

Cell and atoms:
```
Sr2B2O5
1.0
7.337 -1.906 0.000
7.337 1.906 0.000
-2.140 0.000 5.187
Sr B O
2 2 5
direct
0.178 0.178 0.178
0.822 0.822 0.822
0.398 0.398 0.398
0.602 0.602 0.602
0.346 0.346 0.559
0.347 0.347 0.133
0.500 0.500 0.500
0.653 0.653 0.867
0.654 0.654 0.441
```

Peak list (10 most intense, 2θ from 15° to 90°, sorted by position)
25.3°, rel. 72; 28.3°, rel. 100; 30.7°, rel. 21; 31.3°, rel. 25; 36.8°, rel. 17; 39.9°, rel. 19; 44.8°, rel. 60; 49.6°, rel. 30; 53.0°, rel. 16; 54.7°, rel. 17

Theoretical PXRD pattern of SrB2O4 for Cu Kα (weighted mean of Kα1 and Kα2), from a cell relaxed with PBE.

Cell and atoms:
```
SrB2O4
1.0
12.081 0.000 0.000
0.000 4.384 0.000
0.000 0.000 6.752
Sr B O
4 8 16
direct
0.000 0.236 0.250
0.000 0.764 0.750
0.500 0.264 0.750
0.500 0.736 0.250
0.194 0.328 0.624
0.194 0.672 0.124
0.306 0.172 0.124
0.306 0.828 0.624
0.694 0.172 0.376
0.694 0.828 0.876
0.806 0.328 0.876
0.806 0.672 0.376
0.090 0.236 0.591
0.090 0.764 0.091
0.212 0.354 0.146
0.212 0.646 0.646
0.288 0.146 0.646
0.288 0.854 0.146
0.410 0.264 0.091
0.410 0.736 0.591
0.590 0.264 0.409
0.590 0.736 0.909
0.712 0.146 0.854
0.712 0.854 0.354
0.788 0.354 0.354
0.788 0.646 0.854
0.910 0.236 0.909
0.910 0.764 0.409
```

Peak list (10 most intense, 2θ from 15° to 90°, sorted by position)
25.3°, rel. 100; 26.4°, rel. 29; 27.4°, rel. 35; 29.6°, rel. 25; 30.3°, rel. 33; 33.0°, rel. 69; 40.1°, rel. 28; 41.2°, rel. 23; 44.9°, rel. 51; 45.9°, rel. 48

Theoretical PXRD pattern of Sr3B2O8 for Cu Kα (weighted mean of Kα1 and Kα2), from a cell relaxed with PBE.

Cell and atoms:
```
Sr3B2O8
1.0
2.695 1.556 6.478
-2.695 1.556 6.478
0.000 -3.112 6.478
Sr B O
3 2 8
direct
0.000 0.000 0.000
0.209 0.209 0.209
0.791 0.791 0.791
0.414 0.414 0.414
0.586 0.586 0.586
0.264 0.716 0.716
0.284 0.284 0.736
0.284 0.736 0.284
0.338 0.338 0.338
0.662 0.662 0.662
0.716 0.264 0.716
0.716 0.716 0.264
0.736 0.284 0.284
```

Peak list (10 most intense, 2θ from 15° to 90°, sorted by position)
19.6°, rel. 27; 26.5°, rel. 30; 29.9°, rel. 100; 33.2°, rel. 94; 39.7°, rel. 19; 41.8°, rel. 22; 43.0°, rel. 30; 45.3°, rel. 46; 54.4°, rel. 27; 57.3°, rel. 25

Theoretical PXRD pattern of SrTcB2O6 for Cu Kα (weighted mean of Kα1 and Kα2), from a cell relaxed with PBE.

Cell and atoms:
```
SrTcB2O6
1.0
2.486 1.435 5.592
-2.486 1.435 5.592
0.000 -2.871 5.592
Sr Tc B O
1 1 2 6
direct
0.000 0.000 0.000
0.500 0.500 0.500
0.234 0.234 0.234
0.766 0.766 0.766
0.063 0.711 0.513
0.289 0.487 0.937
0.487 0.937 0.289
0.513 0.063 0.711
0.711 0.513 0.063
0.937 0.289 0.487
```

Peak list (10 most intense, 2θ from 15° to 90°, sorted by position)
23.2°, rel. 79; 29.7°, rel. 100; 36.1°, rel. 30; 43.4°, rel. 26; 47.5°, rel. 13; 48.3°, rel. 21; 49.0°, rel. 41; 57.7°, rel. 20; 61.1°, rel. 18; 65.0°, rel. 11